[1]
HoTmW2C3: simulated powder X-ray diffraction pattern (λ = 1.5418 Å (Cu Kα)), based on a cell relaxed with PBE.
Neutral-atom scattering factors, no anomalous dispersion.

The 6 most intense peaks (2θ = 5–70°), low angle first:
2θ (°), Rel. int.
31.8, 34
33.0, 42
34.1, 23
34.7, 100
36.5, 78
43.5, 24

Crystal structure
Cell: 11.718 3.302 5.671 Å, 90.00 112.02 90.00°
Atoms (fractional coordinates):
Ho  0.000  0.000  0.000
Ho  0.500  0.500  0.000
Tm  0.279  0.500  0.356
Tm  0.779  0.000  0.356
W  0.045  0.500  0.506
W  0.235  0.000  0.853
W  0.545  0.000  0.506
W  0.735  0.500  0.853
C  0.139  0.500  0.917
C  0.142  0.000  0.442
C  0.389  0.000  0.181
C  0.639  0.000  0.917
C  0.642  0.500  0.442
C  0.889  0.500  0.181

---

[2]
Ho2TmWC3: simulated powder X-ray diffraction pattern (λ = 1.5418 Å (Cu Kα)), based on a cell relaxed with PBE.
Neutral-atom scattering factors, no anomalous dispersion.

The 6 most intense peaks (2θ = 5–70°), low angle first:
2θ (°), Rel. int.
31.1, 34
31.8, 56
33.2, 100
34.6, 88
36.3, 24
54.5, 23

Crystal structure
Cell: 12.230 3.503 5.784 Å, 90.00 112.88 90.00°
Atoms (fractional coordinates):
Ho  0.000  0.000  0.000
Ho  0.243  0.000  0.603
Ho  0.500  0.500  0.000
Ho  0.743  0.500  0.603
Tm  0.253  0.500  0.125
Tm  0.753  0.000  0.125
W  0.474  0.000  0.441
W  0.974  0.500  0.441
C  0.121  0.500  0.348
C  0.368  0.000  0.067
C  0.410  0.500  0.540
C  0.621  0.000  0.348
C  0.868  0.500  0.067
C  0.910  0.000  0.540

---

[3]
YHoW2C3: simulated powder X-ray diffraction pattern (λ = 1.5418 Å (Cu Kα)), based on a cell relaxed with PBE.
Neutral-atom scattering factors, no anomalous dispersion.

The 6 most intense peaks (2θ = 5–70°), low angle first:
2θ (°), Rel. int.
31.5, 31
32.8, 40
34.0, 25
34.6, 100
36.2, 75
43.4, 36

Crystal structure
Cell: 11.813 3.319 5.711 Å, 90.00 112.51 90.00°
Atoms (fractional coordinates):
Y  0.000  0.000  0.000
Y  0.500  0.500  0.000
Ho  0.280  0.500  0.359
Ho  0.780  0.000  0.359
W  0.046  0.500  0.507
W  0.235  0.000  0.855
W  0.546  0.000  0.507
W  0.735  0.500  0.855
C  0.140  0.500  0.916
C  0.142  0.000  0.446
C  0.390  0.000  0.182
C  0.640  0.000  0.916
C  0.642  0.500  0.446
C  0.890  0.500  0.182

---

[4]
La2Pr2C2I5: simulated powder X-ray diffraction pattern (λ = 1.5418 Å (Cu Kα)), based on a cell relaxed with PBE.
Neutral-atom scattering factors, no anomalous dispersion.

The 6 most intense peaks (2θ = 5–70°), low angle first:
2θ (°), Rel. int.
25.5, 22
27.0, 52
29.9, 100
33.2, 37
43.8, 37
52.3, 25

Crystal structure
Cell: 11.054 11.054 11.054 Å, 158.51 132.75 52.46°
Atoms (fractional coordinates):
La  0.152  0.152  0.000
La  0.848  0.848  0.000
Pr  0.192  0.500  0.692
Pr  0.808  0.500  0.308
C  0.035  0.035  0.000
C  0.965  0.965  0.000
I  0.118  0.339  0.779
I  0.440  0.661  0.779
I  0.500  0.000  0.500
I  0.560  0.339  0.221
I  0.882  0.661  0.221